[1]
Simulated X-ray powder pattern of AsBr for Cu Kα, from a structure optimized by DFT (PBE).
No peak broadening, texture or thermal motion is included.

Peak list (6 most intense, 10 to 80 degrees two-theta, in order of falling intensity)
hkl	two_theta	intensity
2 0 0	12.56	100
1 4 1	35.58	36
1 0 1	24.63	26
2 1 1	27.74	25
3 1 0	19.92	22
3 5 0	37.20	18

Atomic structure:
Lattice parameters (Å, degrees): 14.0948 14.0948 3.7398 90.00 90.00 90.00
Space group I4/m (No. 87)
Unique sites:
As (0.1918, 0.7689, 0.0000) (multiplicity 8)
Br (0.0658, 0.2287, 0.0000) (multiplicity 8)

=====

[2]
Simulated X-ray powder pattern of Cs3Zr3NiS8 for Cu Kα, from a structure optimized by DFT (PBE).
No peak broadening, texture or thermal motion is included.

Peak list (6 most intense, 10 to 80 degrees two-theta, in order of falling intensity)
hkl	two_theta	intensity
0 2 4	31.06	100
2 0 8	40.42	34
2 0 2	28.31	32
2 2 0	48.31	31
0 0 6	21.79	30
0 2 10	46.38	20

Atomic structure:
Lattice parameters (Å, degrees): 7.5359 7.5359 24.4722 90.00 90.00 120.00
Space group R-3m (No. 166, hexagonal axes)
Unique sites:
Cs (0.0000, 0.5000, 0.0000) (multiplicity 9)
Zr (0.0000, 0.5000, 0.5000) (multiplicity 9)
Ni (0.0000, 0.0000, 0.5000) (multiplicity 3)
S (0.0000, 0.0000, 0.2269) (multiplicity 6)
S (0.0045, 0.5023, 0.2233) (multiplicity 18)

=====

[3]
Simulated X-ray powder pattern of Tl2ReO2F4 for Cu Kα, from a structure optimized by DFT (PBE).
No peak broadening, texture or thermal motion is included.

Peak list (6 most intense, 10 to 80 degrees two-theta, in order of falling intensity)
hkl	two_theta	intensity
1 1 1	25.02	100
3 1 0	29.52	63
2 0 -1	23.68	56
2 2 -1	37.69	49
0 2 0	28.89	32
1 1 -2	39.31	30

Atomic structure:
Lattice parameters (Å, degrees): 10.4479 6.1805 4.9959 90.00 94.76 90.00
Space group C2/m (No. 12)
Unique sites:
Tl (0.1731, 0.0000, 0.3218) (multiplicity 4)
Re (0.0000, 0.5000, 0.0000) (multiplicity 2)
O (0.1407, 0.5000, 0.2328) (multiplicity 4)
F (0.0784, 0.2686, 0.7929) (multiplicity 8)

=====

[4]
Simulated X-ray powder pattern of Cd2Si for Cu Kα, from a structure optimized by DFT (PBE).
No peak broadening, texture or thermal motion is included.

Peak list (6 most intense, 10 to 80 degrees two-theta, in order of falling intensity)
hkl	two_theta	intensity
1 3 1	35.74	100
0 6 0	33.28	26
2 6 0	61.09	22
0 0 2	40.23	19
1 3 3	70.21	13
0 6 2	53.16	13

Atomic structure:
Lattice parameters (Å, degrees): 3.6704 16.1541 4.4838 90.00 90.00 90.00
Space group Cmmm (No. 65)
Unique sites:
Cd (0.0000, 0.0000, 0.0000) (multiplicity 2)
Cd (0.0000, 0.1578, 0.5000) (multiplicity 4)
Cd (0.0000, 0.5000, 0.5000) (multiplicity 2)
Si (0.0000, 0.2986, 0.0000) (multiplicity 4)

=====

[5]
Simulated X-ray powder pattern of Ac6NiPt2Cl3 for Cu Kα, from a structure optimized by DFT (PBE).
No peak broadening, texture or thermal motion is included.

Peak list (6 most intense, 10 to 80 degrees two-theta, in order of falling intensity)
hkl	two_theta	intensity
1 1 -2	27.82	100
2 0 -1	11.19	43
5 1 2	41.06	26
8 0 -1	35.44	24
2 0 2	24.53	23
7 1 -2	38.42	20

Atomic structure:
Lattice parameters (Å, degrees): 20.2981 4.4098 9.3848 90.00 108.63 90.00
Space group C2/m (No. 12)
Unique sites:
Ac (0.0096, 0.0000, 0.2194) (multiplicity 4)
Ac (0.1525, 0.5000, 0.1033) (multiplicity 4)
Ac (0.1765, 0.5000, 0.5590) (multiplicity 4)
Ni (0.0000, 0.5000, 0.0000) (multiplicity 2)
Pt (0.1664, 0.0000, 0.3317) (multiplicity 4)
Cl (0.0000, 0.5000, 0.5000) (multiplicity 2)
Cl (0.1623, 0.0000, 0.8284) (multiplicity 4)

=====

[6]
Simulated X-ray powder pattern of NdPd10Pt2 for Cu Kα, from a structure optimized by DFT (PBE).
No peak broadening, texture or thermal motion is included.

Peak list (6 most intense, 10 to 80 degrees two-theta, in order of falling intensity)
hkl	two_theta	intensity
0 4 4	39.44	100
2 2 2	39.28	60
2 4 0	44.19	51
0 6 2	44.34	41
2 6 6	71.46	26
1 3 3	33.95	24

Atomic structure:
Lattice parameters (Å, degrees): 5.3045 12.9147 12.9220 90.00 90.00 90.00
Space group Fmmm (No. 69)
Unique sites:
Nd (0.0000, 0.0000, 0.0000) (multiplicity 4)
Pd (0.0000, 0.1095, 0.3909) (multiplicity 16)
Pd (0.0000, 0.1743, 0.1746) (multiplicity 16)
Pd (0.2500, 0.2500, 0.0000) (multiplicity 8)
Pt (0.2500, 0.0000, 0.2500) (multiplicity 8)

=====

[7]
Simulated X-ray powder pattern of Sn7Ru3 for Cu Kα, from a structure optimized by DFT (PBE).
No peak broadening, texture or thermal motion is included.

Peak list (6 most intense, 10 to 80 degrees two-theta, in order of falling intensity)
hkl	two_theta	intensity
3 3 0	40.44	100
3 2 1	35.50	43
2 2 2	32.78	42
6 3 3	73.55	39
3 1 0	29.86	32
6 0 0	58.52	20

Atomic structure:
Lattice parameters (Å, degrees): 9.4628 9.4628 9.4628 90.00 90.00 90.00
Space group Im-3m (No. 229)
Unique sites:
Sn (0.0000, 0.2500, 0.5000) (multiplicity 12)
Sn (0.1608, 0.1608, 0.1608) (multiplicity 16)
Ru (0.0000, 0.0000, 0.3447) (multiplicity 12)

=====

[8]
Simulated X-ray powder pattern of LiCu2C4O10 for Cu Kα, from a structure optimized by DFT (PBE).
No peak broadening, texture or thermal motion is included.

Peak list (6 most intense, 10 to 80 degrees two-theta, in order of falling intensity)
hkl	two_theta	intensity
1 1 -2	20.21	100
2 2 0	26.77	93
2 2 -1	26.14	66
2 0 0	17.89	56
2 0 -2	20.77	49
0 0 2	18.72	32

Atomic structure:
Lattice parameters (Å, degrees): 10.6207 8.9930 10.1540 90.00 111.00 90.00
Space group Cc (No. 9)
Unique sites:
Li (0.0000, 0.1877, 0.0000) (multiplicity 4)
Cu (0.1898, 0.1607, 0.3461) (multiplicity 4)
Cu (0.1971, 0.2718, 0.8426) (multiplicity 4)
C (0.0845, 0.3265, 0.5408) (multiplicity 4)
C (0.2619, 0.3495, 0.1349) (multiplicity 4)
C (0.3942, 0.0022, 0.4757) (multiplicity 4)
C (0.4738, 0.4849, 0.2223) (multiplicity 4)
O (0.0061, 0.4394, 0.5739) (multiplicity 4)
O (0.0125, 0.0755, 0.8399) (multiplicity 4)
O (0.0321, 0.0915, 0.1836) (multiplicity 4)
O (0.0672, 0.3018, 0.4150) (multiplicity 4)
O (0.1700, 0.2679, 0.6490) (multiplicity 4)
O (0.1797, 0.2912, 0.0216) (multiplicity 4)
O (0.2572, 0.3395, 0.2547) (multiplicity 4)
O (0.3073, 0.0702, 0.8792) (multiplicity 4)
O (0.3607, 0.4354, 0.1100) (multiplicity 4)
O (0.3782, 0.1410, 0.4935) (multiplicity 4)

=====

[9]
Simulated X-ray powder pattern of Ac3Pb2 for Cu Kα, from a structure optimized by DFT (PBE).
No peak broadening, texture or thermal motion is included.

Peak list (6 most intense, 10 to 80 degrees two-theta, in order of falling intensity)
hkl	two_theta	intensity
0 1 3	27.79	100
2 1 2	26.70	76
3 1 2	30.73	71
0 2 0	37.25	70
1 1 3	28.61	55
3 0 2	24.42	49

Atomic structure:
Lattice parameters (Å, degrees): 13.2590 4.8275 12.8984 90.00 90.00 90.00
Space group Pnma (No. 62)
Unique sites:
Ac (0.0492, 0.2500, 0.1320) (multiplicity 4)
Ac (0.1261, 0.7500, 0.5547) (multiplicity 4)
Ac (0.2283, 0.2500, 0.7972) (multiplicity 4)
Pb (0.0067, 0.7500, 0.3154) (multiplicity 4)
Pb (0.1872, 0.7500, 0.9963) (multiplicity 4)